1.
The following is a computed X-ray diffraction stick pattern of Pr4DyCo2B6. It was derived from a DFT-relaxed cell (PBE, OQMD), using a wavelength of 1.5418 Å.
Neutral-atom scattering factors, no anomalous dispersion.

Structural model:
```
data_Pr4DyCo2B6
_cell_length_a 8.752
_cell_length_b 8.752
_cell_length_c 8.752
_cell_angle_alpha 36.40
_cell_angle_beta 36.40
_cell_angle_gamma 36.40
_space_group_name_H-M_alt 'P 1'
_space_group_IT_number 1
loop_
_space_group_symop_operation_xyz
'x,y,z'
loop_
_atom_site_label
_atom_site_fract_x
_atom_site_fract_y
_atom_site_fract_z
Pr1 0.084 0.084 0.084
Pr2 0.248 0.248 0.248
Pr3 0.752 0.752 0.752
Pr4 0.916 0.916 0.916
Dy1 0.500 0.500 0.500
Co1 0.378 0.378 0.378
Co2 0.622 0.622 0.622
B1 0.000 0.333 0.667
B2 0.000 0.667 0.333
B3 0.333 0.000 0.667
B4 0.333 0.667 0.000
B5 0.667 0.000 0.333
B6 0.667 0.333 0.000
```

Peak list (10 most intense, 2θ = 10–80°, in order of rising 2θ)
Position (°2θ)  d_spacing  I_rel
21.8  4.081  18
26.2  3.404  23
31.8  2.814  40
32.8  2.734  100
34.9  2.571  24
39.7  2.271  34
46.3  1.961  14
56.3  1.635  21
57.9  1.593  14
58.5  1.578  22

2.
The following is a computed X-ray diffraction stick pattern of Li4MgInIr2. It was derived from a DFT-relaxed cell (PBE, OQMD), using a wavelength of 1.5418 Å.
Neutral-atom scattering factors, no anomalous dispersion.

Structural model:
```
data_Li4MgInIr2
_cell_length_a 4.415
_cell_length_b 4.415
_cell_length_c 6.200
_cell_angle_alpha 90.00
_cell_angle_beta 90.00
_cell_angle_gamma 90.00
_space_group_name_H-M_alt 'P 1'
_space_group_IT_number 1
loop_
_space_group_symop_operation_xyz
'x,y,z'
loop_
_atom_site_label
_atom_site_fract_x
_atom_site_fract_y
_atom_site_fract_z
Li1 0.000 0.000 0.000
Li2 0.000 0.500 0.742
Li3 0.500 0.000 0.258
Li4 0.500 0.500 0.500
Mg1 0.000 0.000 0.500
In1 0.500 0.500 0.000
Ir1 0.000 0.500 0.255
Ir2 0.500 0.000 0.745
```

Peak list (10 most intense, 2θ = 10–80°, in order of rising 2θ)
Position (°2θ)  d_spacing  I_rel
24.8  3.596  100
28.6  3.122  13
40.9  2.207  26
41.0  2.200  51
48.4  1.881  33
48.6  1.872  16
59.2  1.561  9
65.4  1.428  14
74.6  1.273  18
74.9  1.268  9